# 1
Starting from DFT lattice parameters and positions (GGA-PBE), the powder X-ray diffraction pattern of TmZrF7 was computed for Cu Kα, 1.54184 Å.
Intensities are scaled so that the largest is 100.

Top 8 peaks for 2θ from 10° to 80°, in order of rising 2θ:
2θ = 21.7°, d 4.091, I 100
2θ = 22.1°, d 4.022, I 35
2θ = 25.8°, d 3.448, I 26
2θ = 27.2°, d 3.279, I 18
2θ = 28.8°, d 3.104, I 30
2θ = 44.1°, d 2.056, I 15
2θ = 47.4°, d 1.917, I 17
2θ = 47.9°, d 1.899, I 16

Structural model:
Unit cell a=6.052 b=5.665 c=8.230 alpha=90.00 beta=102.22 gamma=90.00
Element x y z (fractional)
Tm 0.154 0.000 0.183
Tm 0.846 0.500 0.817
Zr 0.312 0.990 0.723
Zr 0.688 0.490 0.277
F 0.040 0.206 0.714
F 0.045 0.307 0.022
F 0.119 0.691 0.720
F 0.254 0.995 0.472
F 0.360 0.988 0.977
F 0.420 0.268 0.266
F 0.455 0.756 0.259
F 0.545 0.256 0.741
F 0.580 0.768 0.734
F 0.640 0.488 0.023
F 0.746 0.495 0.528
F 0.881 0.191 0.280
F 0.955 0.807 0.978
F 0.960 0.706 0.286

***

# 2
Starting from DFT lattice parameters and positions (GGA-PBE), the powder X-ray diffraction pattern of La5Mg was computed for Cu Kα, 1.54184 Å.
Intensities are scaled so that the largest is 100.

Top 8 peaks for 2θ from 10° to 80°, in order of rising 2θ:
2θ = 27.8°, d 3.207, I 18
2θ = 28.4°, d 3.141, I 16
2θ = 29.9°, d 2.984, I 36
2θ = 31.7°, d 2.825, I 100
2θ = 32.2°, d 2.780, I 35
2θ = 49.9°, d 1.826, I 15
2θ = 54.3°, d 1.691, I 22
2θ = 59.3°, d 1.558, I 18

Structural model:
Unit cell a=5.969 b=9.606 c=9.606 alpha=22.39 beta=90.00 gamma=90.00
Element x y z (fractional)
La 0.000 0.000 0.000
La 0.000 0.322 0.322
La 0.500 0.117 0.117
La 0.500 0.449 0.449
La 0.500 0.776 0.776
Mg 0.000 0.664 0.664

***

# 3
Starting from DFT lattice parameters and positions (GGA-PBE), the powder X-ray diffraction pattern of KLaMg6O8 was computed for Cu Kα, 1.54184 Å.
Intensities are scaled so that the largest is 100.

Top 8 peaks for 2θ from 10° to 80°, in order of rising 2θ:
2θ = 19.1°, d 4.638, I 25
2θ = 21.5°, d 4.132, I 40
2θ = 28.9°, d 3.085, I 36
2θ = 33.7°, d 2.660, I 54
2θ = 38.8°, d 2.319, I 100
2θ = 39.6°, d 2.274, I 40
2θ = 56.1°, d 1.640, I 30
2θ = 56.7°, d 1.624, I 50

Structural model:
Unit cell a=4.638 b=4.638 c=9.095 alpha=90.00 beta=90.00 gamma=90.00
Element x y z (fractional)
K 0.000 0.000 0.000
La 0.500 0.500 0.000
Mg 0.000 0.000 0.500
Mg 0.000 0.500 0.275
Mg 0.000 0.500 0.725
Mg 0.500 0.000 0.275
Mg 0.500 0.000 0.725
Mg 0.500 0.500 0.500
O 0.000 0.000 0.281
O 0.000 0.000 0.719
O 0.000 0.500 0.000
O 0.000 0.500 0.500
O 0.500 0.000 0.000
O 0.500 0.000 0.500
O 0.500 0.500 0.273
O 0.500 0.500 0.727

***

# 4
Starting from DFT lattice parameters and positions (GGA-PBE), the powder X-ray diffraction pattern of DyHo was computed for Cu Kα, 1.54184 Å.
Intensities are scaled so that the largest is 100.

Top 8 peaks for 2θ from 10° to 80°, in order of rising 2θ:
2θ = 28.7°, d 3.114, I 24
2θ = 31.3°, d 2.857, I 25
2θ = 32.8°, d 2.734, I 100
2θ = 43.0°, d 2.105, I 16
2θ = 50.8°, d 1.798, I 20
2θ = 56.7°, d 1.625, I 21
2θ = 60.9°, d 1.522, I 23
2θ = 61.8°, d 1.502, I 16

Structural model:
Unit cell a=3.595 b=3.595 c=5.714 alpha=90.00 beta=90.00 gamma=120.00
Element x y z (fractional)
Dy 0.000 0.000 0.000
Ho 0.667 0.333 0.500

***

# 5
Starting from DFT lattice parameters and positions (GGA-PBE), the powder X-ray diffraction pattern of Tm2SeO2 was computed for Cu Kα, 1.54184 Å.
Intensities are scaled so that the largest is 100.

Top 8 peaks for 2θ from 10° to 80°, in order of rising 2θ:
2θ = 24.7°, d 3.603, I 13
2θ = 32.7°, d 2.742, I 100
2θ = 33.5°, d 2.672, I 40
2θ = 45.5°, d 1.993, I 16
2θ = 48.2°, d 1.889, I 20
2θ = 57.7°, d 1.598, I 23
2θ = 59.4°, d 1.556, I 40
2θ = 79.9°, d 1.201, I 11

Structural model:
Unit cell a=6.549 b=6.549 c=6.549 alpha=146.47 beta=146.47 gamma=48.16
Element x y z (fractional)
Tm 0.158 0.158 0.000
Tm 0.842 0.842 0.000
Se 0.500 0.500 0.000
O 0.250 0.750 0.500
O 0.750 0.250 0.500

***

# 6
Starting from DFT lattice parameters and positions (GGA-PBE), the powder X-ray diffraction pattern of KNaPrNbO5 was computed for Cu Kα, 1.54184 Å.
Intensities are scaled so that the largest is 100.

Top 8 peaks for 2θ from 10° to 80°, in order of rising 2θ:
2θ = 10.5°, d 8.392, I 49
2θ = 18.6°, d 4.781, I 29
2θ = 24.1°, d 3.693, I 28
2θ = 30.4°, d 2.937, I 100
2θ = 30.7°, d 2.908, I 38
2θ = 44.0°, d 2.057, I 30
2θ = 53.9°, d 1.701, I 25
2θ = 54.5°, d 1.685, I 37

Structural model:
Unit cell a=5.817 b=5.817 c=8.392 alpha=90.00 beta=90.00 gamma=90.00
Element x y z (fractional)
K 0.250 0.750 0.000
K 0.750 0.250 0.000
Na 0.250 0.250 0.241
Na 0.750 0.750 0.759
Pr 0.250 0.750 0.500
Pr 0.750 0.250 0.500
Nb 0.250 0.250 0.744
Nb 0.750 0.750 0.256
O 0.020 0.020 0.672
O 0.020 0.480 0.672
O 0.250 0.250 0.966
O 0.480 0.020 0.672
O 0.480 0.480 0.672
O 0.520 0.520 0.328
O 0.520 0.980 0.328
O 0.750 0.750 0.034
O 0.980 0.520 0.328
O 0.980 0.980 0.328

***

# 7
Starting from DFT lattice parameters and positions (GGA-PBE), the powder X-ray diffraction pattern of Ce2Se3 was computed for Cu Kα, 1.54184 Å.
Intensities are scaled so that the largest is 100.

Top 8 peaks for 2θ from 10° to 80°, in order of rising 2θ:
2θ = 24.5°, d 3.633, I 20
2θ = 31.8°, d 2.814, I 100
2θ = 37.8°, d 2.378, I 68
2θ = 45.6°, d 1.990, I 21
2θ = 48.0°, d 1.897, I 14
2θ = 52.4°, d 1.745, I 17
2θ = 64.6°, d 1.444, I 29
2θ = 79.1°, d 1.211, I 18

Structural model:
Unit cell a=14.761 b=14.761 c=14.761 alpha=144.92 beta=144.92 gamma=50.45
Element x y z (fractional)
Ce 0.046 0.156 0.622
Ce 0.167 0.167 0.000
Ce 0.173 0.784 0.878
Ce 0.216 0.094 0.389
Ce 0.255 0.625 0.130
Ce 0.375 0.505 0.630
Ce 0.495 0.125 0.870
Ce 0.534 0.423 0.378
Ce 0.577 0.954 0.111
Ce 0.583 0.083 0.500
Ce 0.704 0.827 0.611
Ce 0.833 0.833 0.000
Ce 0.844 0.466 0.889
Ce 0.875 0.745 0.370
Ce 0.906 0.296 0.122
Ce 0.917 0.417 0.500
Se 0.007 0.759 0.900
Se 0.072 0.467 0.246
Se 0.174 0.928 0.395
Se 0.187 0.438 0.093
Se 0.188 0.437 0.593
Se 0.217 0.322 0.746
Se 0.221 0.826 0.754
Se 0.241 0.141 0.248
Se 0.345 0.094 0.907
Se 0.405 0.812 0.249
Se 0.509 0.257 0.400
Se 0.529 0.783 0.105
Se 0.533 0.779 0.605
Se 0.562 0.655 0.749
Se 0.563 0.156 0.751
Se 0.576 0.471 0.254
Se 0.678 0.424 0.895
Se 0.743 0.143 0.252
Se 0.844 0.595 0.407
Se 0.857 0.109 0.600
Se 0.859 0.107 0.100
Se 0.891 0.491 0.748
Se 0.893 0.993 0.752
Se 0.906 0.813 0.251

***

# 8
Starting from DFT lattice parameters and positions (GGA-PBE), the powder X-ray diffraction pattern of MgZnCu was computed for Cu Kα, 1.54184 Å.
Intensities are scaled so that the largest is 100.

Top 8 peaks for 2θ from 10° to 80°, in order of rising 2θ:
2θ = 21.3°, d 4.166, I 67
2θ = 21.4°, d 4.143, I 62
2θ = 41.5°, d 2.178, I 64
2θ = 41.7°, d 2.167, I 100
2θ = 41.8°, d 2.161, I 32
2θ = 43.4°, d 2.083, I 73
2θ = 43.7°, d 2.072, I 71
2θ = 74.7°, d 1.271, I 45

Structural model:
Unit cell a=5.083 b=5.083 c=5.083 alpha=120.06 beta=119.52 gamma=90.36
Element x y z (fractional)
Mg 0.376 0.126 0.250
Mg 0.624 0.874 0.750
Zn 0.000 0.000 0.500
Zn 0.000 0.500 0.000
Cu 0.000 0.500 0.500
Cu 0.500 0.500 0.000

***

# 9
Starting from DFT lattice parameters and positions (GGA-PBE), the powder X-ray diffraction pattern of Ca9B2C4Cl8 was computed for Cu Kα, 1.54184 Å.
Intensities are scaled so that the largest is 100.

Top 8 peaks for 2θ from 10° to 80°, in order of rising 2θ:
2θ = 25.6°, d 3.478, I 41
2θ = 30.3°, d 2.948, I 19
2θ = 31.2°, d 2.865, I 45
2θ = 32.3°, d 2.774, I 30
2θ = 33.8°, d 2.653, I 100
2θ = 43.3°, d 2.088, I 15
2θ = 44.4°, d 2.040, I 22
2θ = 46.6°, d 1.948, I 35

Structural model:
Unit cell a=8.941 b=8.941 c=12.165 alpha=90.00 beta=90.00 gamma=98.39
Element x y z (fractional)
Ca 0.029 0.333 0.550
Ca 0.029 0.333 0.950
Ca 0.121 0.879 0.750
Ca 0.193 0.433 0.250
Ca 0.333 0.029 0.050
Ca 0.333 0.029 0.450
Ca 0.341 0.659 0.592
Ca 0.341 0.659 0.908
Ca 0.433 0.193 0.750
Ca 0.567 0.807 0.250
Ca 0.659 0.341 0.092
Ca 0.659 0.341 0.408
Ca 0.667 0.971 0.550
Ca 0.667 0.971 0.950
Ca 0.807 0.567 0.750
Ca 0.879 0.121 0.250
Ca 0.971 0.667 0.050
Ca 0.971 0.667 0.450
B 0.085 0.582 0.750
B 0.418 0.915 0.750
B 0.582 0.085 0.250
B 0.915 0.418 0.250
C 0.063 0.597 0.632
C 0.063 0.597 0.868
C 0.403 0.937 0.632
C 0.403 0.937 0.868
C 0.597 0.063 0.132
C 0.597 0.063 0.368
C 0.937 0.403 0.132
C 0.937 0.403 0.368
Cl 0.000 0.000 0.000
Cl 0.000 0.000 0.500
Cl 0.124 0.198 0.750
Cl 0.198 0.124 0.250
Cl 0.276 0.724 0.121
Cl 0.276 0.724 0.379
Cl 0.340 0.340 0.000
Cl 0.340 0.340 0.500
Cl 0.488 0.512 0.750
Cl 0.512 0.488 0.250
Cl 0.660 0.660 0.000
Cl 0.660 0.660 0.500
Cl 0.724 0.276 0.621
Cl 0.724 0.276 0.879
Cl 0.802 0.876 0.750
Cl 0.876 0.802 0.250